# CsZnSbH2
Simulated XRD peak list, CuKα. Input: a cell relaxed with GGA-PBE.

Principal peaks in the range 10° ≤ 2θ ≤ 80°, in order of rising 2θ:
2θ 22.58, d 3.937, I 1000, hkl 1 0 1; 2θ 25.86, d 3.446, I 433, hkl 0 0 6; 2θ 31.06, d 2.879, I 831, hkl 0 1 5; 2θ 38.89, d 2.316, I 554, hkl 1 1 0; 2θ 47.30, d 1.922, I 496, hkl 1 1 6; 2θ 50.59, d 1.804, I 208, hkl 2 0 5

Atomic structure:
a b c (Å): 4.631 4.631 20.675
angles (deg): 90.00 90.00 120.00
Positions (direct):
Cs: 0.000 0.000 0.000
Cs: 0.333 0.667 0.667
Cs: 0.667 0.333 0.333
Zn: 0.000 0.000 0.185
Zn: 0.333 0.667 0.852
Zn: 0.667 0.333 0.519
Sb: 0.000 0.000 0.820
Sb: 0.333 0.667 0.487
Sb: 0.667 0.333 0.154
H: 0.000 0.000 0.266
H: 0.000 0.000 0.735
H: 0.333 0.667 0.402
H: 0.333 0.667 0.933
H: 0.667 0.333 0.069
H: 0.667 0.333 0.599